# LaGdTe
Calculated powder diffractogram, Cu Kα (weighted mean of Kα1 and Kα2). Input: DFT lattice parameters and positions (GGA-PBE).

Atomic structure:
abc: 5.2764 5.2764 4.0582
angles: 90.00 90.00 120.00
Space group P3m1 (No. 156)
One atom of each set of equivalent atoms:
La1 0.0000 0.0000 0.0000 x1
Gd1 0.3333 0.6667 0.5001 x1
Te1 0.6667 0.3333 0.5032 x1

Top 11 peaks for 5 to 70 degrees two-theta, sorted by position:
| (hkl) | d (Å) | 2theta | Rel. int. |
| --- | --- | --- | --- |
| 1 0 0 | 4.569 | 19.43 | 1 |
| 0 0 1 | 4.058 | 21.90 | 9 |
| 0 1 1 | 3.034 | 29.44 | 100 |
| 1 1 0 | 2.638 | 33.98 | 77 |
| 1 1 1 | 2.212 | 40.80 | 11 |
| 0 0 2 | 2.029 | 44.66 | 12 |
| 2 0 1 | 1.991 | 45.56 | 30 |
| 1 1 2 | 1.608 | 57.28 | 34 |
| 1 2 1 | 1.589 | 58.04 | 29 |
| 3 0 0 | 1.523 | 60.81 | 14 |
| 3 0 1 | 1.426 | 65.45 | 3 |


# Zn5Cu8Pt
Calculated powder diffractogram, Cu Kα (weighted mean of Kα1 and Kα2). Input: DFT lattice parameters and positions (GGA-PBE).

Atomic structure:
abc: 7.245 7.245 7.335
angles: 90.00 90.00 90.00
Space group I-4 (No. 82)
One atom of each set of equivalent atoms:
Zn1 0.000 0.000 0.000 x2
Zn2 0.121 0.212 0.590 x8
Cu1 0.067 0.336 0.917 x8
Cu2 0.108 0.168 0.256 x8
Pt1 0.000 0.500 0.250 x2

Top 12 peaks for 5 to 70 degrees two-theta, sorted by position:
| (hkl) | d (Å) | 2theta | Rel. int. |
| --- | --- | --- | --- |
| 1 0 1 | 5.154 | 17.20 | 14 |
| 2 1 1 | 2.964 | 30.15 | 36 |
| 1 0 3 | 2.317 | 38.88 | 56 |
| 3 1 0 | 2.292 | 39.30 | 100 |
| 2 2 2 | 2.100 | 43.08 | 14 |
| 2 1 3 | 1.952 | 46.53 | 44 |
| 3 1 2 | 1.943 | 46.75 | 52 |
| 2 3 1 | 1.938 | 46.88 | 42 |
| 1 4 1 | 1.709 | 53.64 | 9 |
| 2 4 0 | 1.620 | 56.83 | 12 |
| 2 2 4 | 1.491 | 62.27 | 9 |
| 1 3 4 | 1.432 | 65.16 | 9 |


# Ac4La2Nd3
Calculated powder diffractogram, Cu Kα (weighted mean of Kα1 and Kα2). Input: DFT lattice parameters and positions (GGA-PBE).

Atomic structure:
abc: 16.302 5.422 8.578
angles: 90.00 108.55 90.00
Space group C2/m (No. 12)
One atom of each set of equivalent atoms:
Ac1 0.052 0.000 0.329 x4
Ac2 0.223 0.500 0.328 x4
La1 0.167 0.000 0.001 x4
Nd1 0.000 0.500 0.000 x2
Nd2 0.111 0.500 0.673 x4

Top 12 peaks for 5 to 70 degrees two-theta, sorted by position:
| (hkl) | d (Å) | 2theta | Rel. int. |
| --- | --- | --- | --- |
| 0 0 1 | 8.132 | 10.88 | 1 |
| 1 1 -1 | 4.552 | 19.50 | 1 |
| 0 0 2 | 4.066 | 21.86 | 1 |
| 3 1 0 | 3.736 | 23.82 | 2 |
| 3 1 1 | 3.133 | 28.49 | 100 |
| 0 2 0 | 2.713 | 33.02 | 51 |
| 6 2 -1 | 1.918 | 47.39 | 38 |
| 9 1 0 | 1.638 | 56.16 | 15 |
| 3 3 1 | 1.635 | 56.26 | 30 |
| 6 2 2 | 1.566 | 58.97 | 13 |
| 12 0 -2 | 1.359 | 69.15 | 2 |
| 0 4 0 | 1.355 | 69.33 | 4 |


# TlCdAu
Calculated powder diffractogram, Cu Kα (weighted mean of Kα1 and Kα2). Input: DFT lattice parameters and positions (GGA-PBE).

Atomic structure:
abc: 4.856 5.020 11.817
angles: 90.00 90.00 90.00
Space group Fmm2 (No. 42)
One atom of each set of equivalent atoms:
Tl1 0.000 0.000 0.000 x4
Cd1 0.000 0.000 0.701 x4
Au1 0.000 0.000 0.330 x4

Top 12 peaks for 5 to 70 degrees two-theta, sorted by position:
| (hkl) | d (Å) | 2theta | Rel. int. |
| --- | --- | --- | --- |
| 0 0 2 | 5.908 | 14.99 | 7 |
| 1 1 1 | 3.347 | 26.63 | 7 |
| 1 1 3 | 2.612 | 34.33 | 100 |
| 0 2 0 | 2.510 | 35.77 | 24 |
| 2 0 0 | 2.428 | 37.02 | 22 |
| 0 0 6 | 1.969 | 46.09 | 9 |
| 2 2 0 | 1.745 | 52.43 | 16 |
| 0 2 6 | 1.549 | 59.68 | 8 |
| 2 0 6 | 1.529 | 60.54 | 9 |
| 1 1 7 | 1.520 | 60.97 | 5 |
| 1 3 3 | 1.468 | 63.36 | 17 |
| 3 1 3 | 1.435 | 65.00 | 16 |


# TlPd5Pt5
Calculated powder diffractogram, Cu Kα (weighted mean of Kα1 and Kα2). Input: DFT lattice parameters and positions (GGA-PBE).

Atomic structure:
abc: 5.085 5.306 6.945
angles: 96.27 98.50 94.67
Space group P-1 (No. 2)
One atom of each set of equivalent atoms:
Tl1 0.000 0.000 0.000 x1
Pd1 0.000 0.500 0.000 x1
Pd2 0.019 0.186 0.647 x2
Pd3 0.500 0.239 0.887 x2
Pt1 0.252 0.709 0.722 x2
Pt2 0.283 0.413 0.365 x2
Pt3 0.500 0.000 0.500 x1

Top 12 peaks for 5 to 70 degrees two-theta, sorted by position:
| (hkl) | d (Å) | 2theta | Rel. int. |
| --- | --- | --- | --- |
| 1 0 1 | 3.760 | 23.66 | 24 |
| 0 1 2 | 2.710 | 33.05 | 42 |
| 2 -1 0 | 2.352 | 38.27 | 46 |
| -1 2 1 | 2.258 | 39.92 | 100 |
| 1 2 -1 | 2.243 | 40.21 | 47 |
| 1 1 2 | 2.224 | 40.56 | 63 |
| 0 2 -2 | 2.215 | 40.73 | 76 |
| 1 0 -3 | 2.204 | 40.94 | 70 |
| 2 1 -1 | 2.197 | 41.09 | 51 |
| 2 0 -2 | 2.188 | 41.27 | 77 |
| 2 1 0 | 2.176 | 41.49 | 27 |
| 2 -1 1 | 2.161 | 41.80 | 59 |


# La3Sn5Rh6
Calculated powder diffractogram, Cu Kα (weighted mean of Kα1 and Kα2). Input: DFT lattice parameters and positions (GGA-PBE).

Atomic structure:
abc: 4.402 13.587 10.267
angles: 90.00 90.00 90.00
Space group Pmmn (No. 59, origin choice 2)
One atom of each set of equivalent atoms:
La1 0.250 0.077 0.245 x4
La2 0.250 0.750 0.264 x2
Sn1 0.250 0.082 0.640 x4
Sn2 0.250 0.632 0.990 x4
Sn3 0.250 0.750 0.648 x2
Rh1 0.250 0.048 0.897 x4
Rh2 0.250 0.250 0.501 x2
Rh3 0.250 0.250 0.974 x2
Rh4 0.250 0.585 0.502 x4

Top 12 peaks for 5 to 70 degrees two-theta, sorted by position:
| (hkl) | d (Å) | 2theta | Rel. int. |
| --- | --- | --- | --- |
| 0 3 3 | 2.730 | 32.80 | 20 |
| 1 0 3 | 2.702 | 33.16 | 38 |
| 1 3 2 | 2.689 | 33.32 | 100 |
| 0 6 0 | 2.264 | 39.81 | 21 |
| 1 5 1 | 2.256 | 39.97 | 14 |
| 2 0 0 | 2.201 | 41.01 | 38 |
| 1 3 4 | 1.991 | 45.55 | 16 |
| 0 3 5 | 1.870 | 48.69 | 14 |
| 1 6 3 | 1.736 | 52.74 | 12 |
| 2 6 0 | 1.578 | 58.48 | 14 |
| 2 3 5 | 1.425 | 65.50 | 13 |
| 3 3 2 | 1.347 | 69.81 | 17 |


# Li3C
Calculated powder diffractogram, Cu Kα (weighted mean of Kα1 and Kα2). Input: DFT lattice parameters and positions (GGA-PBE).

Atomic structure:
abc: 4.247 4.247 4.247
angles: 90.00 90.00 90.00
Space group Pm-3n (No. 223)
One atom of each set of equivalent atoms:
Li1 0.000 0.250 0.500 x6
C1 0.000 0.000 0.000 x2

Top 5 peaks for 5 to 70 degrees two-theta, sorted by position:
| (hkl) | d (Å) | 2theta | Rel. int. |
| --- | --- | --- | --- |
| 1 1 0 | 3.003 | 29.75 | 51 |
| 2 0 0 | 2.123 | 42.58 | 54 |
| 2 1 0 | 1.899 | 47.90 | 74 |
| 2 1 1 | 1.734 | 52.81 | 100 |
| 2 2 0 | 1.501 | 61.79 | 1 |


# BaSn2GeI8
Calculated powder diffractogram, Cu Kα (weighted mean of Kα1 and Kα2). Input: DFT lattice parameters and positions (GGA-PBE).

Atomic structure:
abc: 7.339 9.556 7.726
angles: 90.00 90.59 90.00
Space group P2/m (No. 10)
One atom of each set of equivalent atoms:
Ba1 0.000 0.000 0.000 x1
Sn1 0.500 0.265 0.500 x2
Ge1 0.000 0.500 0.000 x1
I1 0.244 0.280 0.160 x4
I2 0.244 0.500 0.673 x2
I3 0.271 0.000 0.638 x2

Top 12 peaks for 5 to 70 degrees two-theta, sorted by position:
| (hkl) | d (Å) | 2theta | Rel. int. |
| --- | --- | --- | --- |
| 1 0 -1 | 5.349 | 16.57 | 45 |
| 1 0 1 | 5.294 | 16.75 | 40 |
| 1 2 0 | 4.004 | 22.20 | 31 |
| 1 2 -1 | 3.563 | 24.99 | 100 |
| 1 2 1 | 3.547 | 25.11 | 89 |
| 1 0 -2 | 3.433 | 25.96 | 52 |
| 1 0 2 | 3.404 | 26.18 | 58 |
| 2 2 -1 | 2.732 | 32.78 | 81 |
| 2 2 1 | 2.716 | 32.98 | 66 |
| 0 4 0 | 2.389 | 37.65 | 42 |
| 0 2 3 | 2.267 | 39.76 | 80 |
| 3 2 0 | 2.178 | 41.46 | 29 |


# Pr5Co2B6
Calculated powder diffractogram, Cu Kα (weighted mean of Kα1 and Kα2). Input: DFT lattice parameters and positions (GGA-PBE).

Atomic structure:
abc: 5.4842 5.4842 25.0290
angles: 90.00 90.00 120.00
Space group R-3m (No. 166, hexagonal axes)
One atom of each set of equivalent atoms:
Pr1 0.0000 0.0000 0.0000 x3
Pr2 0.0000 0.0000 0.2505 x6
Pr3 0.0000 0.0000 0.4173 x6
Co1 0.0000 0.0000 0.1236 x6
B1 0.0000 0.3330 0.5000 x18

Top 12 peaks for 5 to 70 degrees two-theta, sorted by position:
| (hkl) | d (Å) | 2theta | Rel. int. |
| --- | --- | --- | --- |
| 0 0 6 | 4.171 | 21.30 | 21 |
| 0 1 5 | 3.445 | 25.86 | 23 |
| 1 0 7 | 2.857 | 31.31 | 39 |
| 1 1 0 | 2.742 | 32.66 | 100 |
| 0 1 8 | 2.613 | 34.32 | 21 |
| 1 1 6 | 2.291 | 39.32 | 38 |
| 0 0 12 | 2.086 | 43.38 | 9 |
| 0 2 7 | 1.978 | 45.87 | 14 |
| 1 1 12 | 1.660 | 55.34 | 22 |
| 2 1 7 | 1.604 | 57.44 | 14 |
| 3 0 0 | 1.583 | 58.28 | 22 |
| 2 2 0 | 1.371 | 68.43 | 12 |


# ErScCoAg
Calculated powder diffractogram, Cu Kα (weighted mean of Kα1 and Kα2). Input: DFT lattice parameters and positions (GGA-PBE).

Atomic structure:
abc: 3.231 3.231 7.362
angles: 90.00 90.00 90.00
Space group P4mm (No. 99)
One atom of each set of equivalent atoms:
Er1 0.000 0.000 0.000 x1
Sc1 0.000 0.000 0.569 x1
Co1 0.500 0.500 0.768 x1
Ag1 0.500 0.500 0.303 x1

Top 12 peaks for 5 to 70 degrees two-theta, sorted by position:
| (hkl) | d (Å) | 2theta | Rel. int. |
| --- | --- | --- | --- |
| 0 0 1 | 7.362 | 12.02 | 24 |
| 1 0 1 | 2.958 | 30.21 | 36 |
| 0 0 3 | 2.454 | 36.62 | 11 |
| 1 0 2 | 2.428 | 37.02 | 100 |
| 1 1 0 | 2.285 | 39.44 | 47 |
| 0 0 4 | 1.840 | 49.53 | 7 |
| 1 1 3 | 1.672 | 54.91 | 13 |
| 2 0 0 | 1.615 | 57.01 | 15 |
| 1 1 4 | 1.433 | 65.08 | 12 |
| 2 1 1 | 1.418 | 65.88 | 8 |
| 2 0 3 | 1.349 | 69.69 | 6 |
| 2 1 2 | 1.345 | 69.95 | 29 |


# TiGeI6
Calculated powder diffractogram, Cu Kα (weighted mean of Kα1 and Kα2). Input: DFT lattice parameters and positions (GGA-PBE).

Atomic structure:
abc: 7.142 13.560 7.135
angles: 90.00 108.65 90.00
Space group C2/m (No. 12)
One atom of each set of equivalent atoms:
Ti1 0.000 0.000 0.000 x2
Ge1 0.000 0.500 0.500 x2
I1 0.236 0.145 0.236 x8
I2 0.238 0.000 0.762 x4

Top 12 peaks for 5 to 70 degrees two-theta, sorted by position:
| (hkl) | d (Å) | 2theta | Rel. int. |
| --- | --- | --- | --- |
| 0 2 0 | 6.779 | 13.06 | 33 |
| 1 1 -1 | 5.332 | 16.63 | 20 |
| 1 3 -1 | 3.565 | 24.98 | 74 |
| 2 0 0 | 3.384 | 26.34 | 37 |
| 0 0 2 | 3.380 | 26.37 | 36 |
| 1 3 1 | 3.062 | 29.16 | 100 |
| 2 0 -2 | 2.899 | 30.84 | 47 |
| 0 6 0 | 2.260 | 39.89 | 16 |
| 1 3 -3 | 2.105 | 42.96 | 66 |
| 2 0 2 | 2.081 | 43.48 | 17 |
| 1 3 3 | 1.797 | 50.79 | 19 |
| 0 0 4 | 1.691 | 54.25 | 17 |


# Tm7Bi2Au2
Calculated powder diffractogram, Cu Kα (weighted mean of Kα1 and Kα2). Input: DFT lattice parameters and positions (GGA-PBE).

Atomic structure:
abc: 4.085 15.363 9.806
angles: 90.00 90.00 90.00
Space group Imm2 (No. 44)
One atom of each set of equivalent atoms:
Tm1 0.000 0.000 0.000 x2
Tm2 0.000 0.126 0.417 x4
Tm3 0.000 0.311 0.630 x4
Tm4 0.000 0.360 0.275 x4
Bi1 0.000 0.000 0.666 x2
Bi2 0.000 0.500 0.758 x2
Au1 0.000 0.236 0.933 x4

Top 12 peaks for 5 to 70 degrees two-theta, sorted by position:
| (hkl) | d (Å) | 2theta | Rel. int. |
| --- | --- | --- | --- |
| 0 2 2 | 4.133 | 21.50 | 14 |
| 1 3 0 | 3.195 | 27.93 | 15 |
| 1 1 2 | 3.075 | 29.04 | 36 |
| 0 5 1 | 2.932 | 30.49 | 16 |
| 0 3 3 | 2.755 | 32.50 | 40 |
| 1 4 1 | 2.691 | 33.30 | 100 |
| 1 3 2 | 2.676 | 33.49 | 34 |
| 1 0 3 | 2.552 | 35.16 | 24 |
| 1 2 3 | 2.422 | 37.12 | 28 |
| 2 0 0 | 2.042 | 44.35 | 28 |
| 2 3 3 | 1.641 | 56.05 | 17 |
| 2 6 2 | 1.518 | 61.04 | 14 |


# CuSiAg2
Calculated powder diffractogram, Cu Kα (weighted mean of Kα1 and Kα2). Input: DFT lattice parameters and positions (GGA-PBE).

Atomic structure:
abc: 2.918 4.148 5.370
angles: 90.00 105.69 90.00
Space group Pm (No. 6)
One atom of each set of equivalent atoms:
Cu1 0.000 0.000 0.000 x1
Si1 0.122 0.500 0.232 x1
Ag1 0.383 0.500 0.767 x1
Ag2 0.728 0.000 0.461 x1

Top 12 peaks for 5 to 70 degrees two-theta, sorted by position:
| (hkl) | d (Å) | 2theta | Rel. int. |
| --- | --- | --- | --- |
| 0 0 1 | 5.170 | 17.15 | 12 |
| 0 1 1 | 3.235 | 27.57 | 34 |
| 0 0 2 | 2.585 | 34.70 | 4 |
| 1 1 0 | 2.325 | 38.72 | 100 |
| 1 0 -2 | 2.227 | 40.51 | 57 |
| 0 1 2 | 2.194 | 41.15 | 71 |
| 0 2 0 | 2.074 | 43.64 | 32 |
| 1 1 1 | 1.962 | 46.27 | 4 |
| 0 0 3 | 1.723 | 53.15 | 5 |
| 1 0 -3 | 1.687 | 54.38 | 10 |
| 1 2 -2 | 1.518 | 61.05 | 32 |
| 2 0 -1 | 1.459 | 63.80 | 10 |


# BaPa3Cu4O12
Calculated powder diffractogram, Cu Kα (weighted mean of Kα1 and Kα2). Input: DFT lattice parameters and positions (GGA-PBE).

Atomic structure:
abc: 11.3683 11.3683 8.7660
angles: 90.00 90.00 120.00
Space group R32 (No. 155, hexagonal axes)
One atom of each set of equivalent atoms:
Ba1 0.0000 0.0000 0.0000 x3
Pa1 0.0000 0.5581 0.0000 x9
Cu1 0.0000 0.0000 0.5000 x3
Cu2 0.0000 0.4304 0.5000 x9
O1 0.0000 0.6014 0.5000 x9
O2 0.0000 0.8337 0.5000 x9
O3 0.0483 0.2095 0.2043 x18

Top 12 peaks for 5 to 70 degrees two-theta, sorted by position:
| (hkl) | d (Å) | 2theta | Rel. int. |
| --- | --- | --- | --- |
| 1 1 0 | 5.684 | 15.59 | 27 |
| 0 2 1 | 4.292 | 20.69 | 43 |
| 2 1 1 | 3.425 | 26.01 | 35 |
| 2 0 2 | 3.274 | 27.24 | 100 |
| 2 2 0 | 2.842 | 31.48 | 28 |
| 1 3 1 | 2.607 | 34.40 | 38 |
| 1 1 3 | 2.599 | 34.51 | 19 |
| 3 1 2 | 2.318 | 38.86 | 21 |
| 0 2 4 | 2.002 | 45.30 | 22 |
| 5 1 1 | 1.732 | 52.86 | 31 |
| 3 3 3 | 1.590 | 58.01 | 16 |
| 5 2 0 | 1.576 | 58.55 | 16 |